Diffraction record for NiMoNF2. The powder XRD pattern is calculated, not measured: it uses DFT lattice parameters and positions (GGA+U) and Cu Kα (λ = 1.5418 Å).

Top 10 peaks for 5° ≤ 2θ ≤ 70°, low angle first:
| d/Å | 2theta | I/Imax | (hkl) |
| --- | --- | --- | --- |
| 4.185 | 21.2 | 13 | 1 0 0 |
| 3.993 | 22.3 | 9 | 0 0 1 |
| 2.959 | 30.2 | 45 | 1 1 0 |
| 2.889 | 31.0 | 100 | 1 0 1 |
| 2.093 | 43.2 | 40 | 2 0 0 |
| 1.996 | 45.4 | 17 | 0 0 2 |
| 1.695 | 54.1 | 40 | 2 1 1 |
| 1.655 | 55.5 | 16 | 1 1 2 |
| 1.480 | 62.8 | 12 | 2 2 0 |
| 1.444 | 64.5 | 21 | 2 0 2 |

Structure:
```
data_NiMoNF2
_cell_length_a 4.185
_cell_length_b 4.185
_cell_length_c 3.993
_cell_angle_alpha 90.00
_cell_angle_beta 90.00
_cell_angle_gamma 90.00
_symmetry_space_group_name_H-M 'P 4/m m m'
_symmetry_Int_Tables_number 123
_symmetry_space_group_name_Hall '-P 4 2'
loop_
_atom_site_label
_atom_site_fract_x
_atom_site_fract_y
_atom_site_fract_z
Ni1 0.000 0.000 0.000
Mo1 0.500 0.500 0.500
N1 0.500 0.500 0.000
F1 0.000 0.500 0.500
```